# 1
Starting from a cell relaxed with PBE, the powder X-ray diffraction pattern of PmH2Br was computed for Cu Kα, 1.54184 Å.

Top 6 peaks for 2θ = 10–90°, in order of rising 2θ:
16.51°, intensity 18.4, hkl 0 0 2; 26.46°, intensity 28.9, hkl 1 0 0; 31.35°, intensity 100.0, hkl 1 0 2; 43.09°, intensity 32.1, hkl 0 1 4; 46.71°, intensity 25.2, hkl 1 1 0; 57.34°, intensity 17.8, hkl 0 2 2

Atomic structure:
a = 3.8894 Å, b = 3.8894 Å, c = 10.7391 Å
α = 90.00°, β = 90.00°, γ = 120.00°
Space group P-3m1 (No. 164)
Inequivalent atoms, fractional coordinates:
Pm  0.3333  0.6667  0.3448 x2
H  0.0000  0.0000  0.3646 x2
H  0.3333  0.6667  0.5605 x2
Br  0.3333  0.6667  0.8387 x2

# 2
Starting from a cell relaxed with PBE, the powder X-ray diffraction pattern of Pm2HBr2 was computed for Cu Kα, 1.54184 Å.

Top 6 peaks for 2θ = 10–90°, in order of rising 2θ:
17.03°, intensity 15.4, hkl 4 0 0; 26.52°, intensity 36.2, hkl 2 0 -2; 29.63°, intensity 100.0, hkl 3 1 1; 32.97°, intensity 23.2, hkl 5 1 -1; 39.06°, intensity 21.0, hkl 7 1 -1; 45.58°, intensity 22.9, hkl 1 1 -3

Atomic structure:
a = 20.931 Å, b = 3.961 Å, c = 6.907 Å
α = 90.00°, β = 95.77°, γ = 90.00°
Space group C2/m (No. 12)
Inequivalent atoms, fractional coordinates:
Pm  0.181  0.000  0.393 x4
Pm  0.181  0.500  0.896 x4
H  0.209  0.000  0.069 x4
Br  0.088  0.500  0.196 x4
Br  0.091  0.000  0.699 x4

# 3
Starting from a cell relaxed with PBE, the powder X-ray diffraction pattern of Pm6HRh2Br3 was computed for Cu Kα, 1.54184 Å.

Top 6 peaks for 2θ = 10–90°, in order of rising 2θ:
11.41°, intensity 21.3, hkl 0 0 1; 29.84°, intensity 51.6, hkl 2 0 -2; 29.94°, intensity 100.0, hkl 1 3 1; 32.11°, intensity 21.1, hkl 2 0 1; 40.41°, intensity 42.7, hkl 1 3 -3; 45.05°, intensity 37.3, hkl 3 3 -1

Atomic structure:
a = 6.979 Å, b = 12.035 Å, c = 8.099 Å
α = 90.00°, β = 106.77°, γ = 90.00°
Space group C2/m (No. 12)
Inequivalent atoms, fractional coordinates:
Pm  0.230  0.165  0.195 x8
Pm  0.234  0.500  0.196 x4
H  0.000  0.000  0.000 x2
Rh  0.000  0.334  0.000 x4
Br  0.000  0.168  0.500 x4
Br  0.000  0.500  0.500 x2

# 4
Starting from a cell relaxed with PBE, the powder X-ray diffraction pattern of Pm2H2SBr was computed for Cu Kα, 1.54184 Å.

Top 6 peaks for 2θ = 10–90°, in order of rising 2θ:
28.48°, intensity 100.0, hkl 1 0 1; 34.14°, intensity 70.3, hkl 0 1 2; 42.09°, intensity 18.8, hkl 1 0 3; 46.50°, intensity 32.8, hkl 1 1 0; 55.44°, intensity 15.8, hkl 0 2 1; 58.94°, intensity 14.1, hkl 2 0 2

Atomic structure:
a = 3.9057 Å, b = 3.9057 Å, c = 8.3346 Å
α = 90.00°, β = 90.00°, γ = 120.00°
Space group P-3m1 (No. 164)
Inequivalent atoms, fractional coordinates:
Pm  0.3333  0.6667  0.2096 x2
H  0.3333  0.6667  0.7532 x2
S  0.0000  0.0000  0.0000 x1
Br  0.0000  0.0000  0.5000 x1

# 5
Starting from a cell relaxed with PBE, the powder X-ray diffraction pattern of PrHBr4 was computed for Cu Kα, 1.54184 Å.

Top 6 peaks for 2θ = 10–90°, in order of rising 2θ:
13.51°, intensity 68.2, hkl 1 0 1; 17.82°, intensity 67.6, hkl 2 0 0; 27.22°, intensity 100.0, hkl 2 0 2; 28.35°, intensity 49.8, hkl 3 1 0; 35.18°, intensity 63.8, hkl 3 1 2; 43.83°, intensity 63.0, hkl 3 3 2

Atomic structure:
a = 9.956 Å, b = 9.956 Å, c = 8.703 Å
α = 90.00°, β = 90.00°, γ = 90.00°
Space group I4_1md (No. 109)
Inequivalent atoms, fractional coordinates:
Pr  0.000  0.000  0.000 x4
H  0.000  0.000  0.308 x4
Br  0.000  0.296  0.009 x8
Br  0.000  0.328  0.526 x8

# 6
Starting from a cell relaxed with PBE, the powder X-ray diffraction pattern of Pr8HPt3Br4 was computed for Cu Kα, 1.54184 Å.

Top 6 peaks for 2θ = 10–90°, in order of rising 2θ:
11.46°, intensity 25.7, hkl 0 0 3; 29.05°, intensity 100.0, hkl 0 2 4; 39.84°, intensity 31.6, hkl 2 0 8; 43.20°, intensity 37.3, hkl 2 2 0; 52.90°, intensity 18.9, hkl 4 0 4; 70.60°, intensity 15.8, hkl 2 4 4

Atomic structure:
a = 8.3774 Å, b = 8.3774 Å, c = 23.1547 Å
α = 90.00°, β = 90.00°, γ = 120.00°
Space group R-3m (No. 166, hexagonal axes)
Inequivalent atoms, fractional coordinates:
Pr  0.0000  0.0000  0.2334 x6
Pr  0.0059  0.5030  0.2336 x18
H  0.0000  0.0000  0.5000 x3
Pt  0.0000  0.5000  0.5000 x9
Br  0.0000  0.0000  0.0000 x3
Br  0.0000  0.5000  0.0000 x9

# 7
Starting from a cell relaxed with PBE, the powder X-ray diffraction pattern of Pr6HRu2Br3 was computed for Cu Kα, 1.54184 Å.

Top 6 peaks for 2θ = 10–90°, in order of rising 2θ:
11.15°, intensity 12.9, hkl 0 0 1; 29.64°, intensity 100.0, hkl 1 3 1; 31.76°, intensity 13.6, hkl 1 3 -2; 39.79°, intensity 29.1, hkl 2 0 2; 44.92°, intensity 36.2, hkl 3 3 -1; 73.42°, intensity 14.4, hkl 4 6 0

Atomic structure:
a = 6.988 Å, b = 12.111 Å, c = 8.274 Å
α = 90.00°, β = 106.47°, γ = 90.00°
Space group C2/m (No. 12)
Inequivalent atoms, fractional coordinates:
Pr  0.232  0.000  0.196 x4
Pr  0.232  0.333  0.196 x8
H  0.000  0.500  0.000 x2
Ru  0.000  0.166  0.000 x4
Br  0.000  0.000  0.500 x2
Br  0.000  0.329  0.500 x4

# 8
Starting from a cell relaxed with PBE, the powder X-ray diffraction pattern of Pr8Si3HBr4 was computed for Cu Kα, 1.54184 Å.

Top 6 peaks for 2θ = 10–90°, in order of rising 2θ:
25.80°, intensity 30.2, hkl 2 0 2; 29.36°, intensity 100.0, hkl 0 2 4; 31.79°, intensity 17.6, hkl 2 0 5; 40.84°, intensity 31.4, hkl 2 0 8; 43.13°, intensity 37.5, hkl 2 2 0; 53.03°, intensity 18.8, hkl 4 0 4

Atomic structure:
a = 8.3892 Å, b = 8.3892 Å, c = 22.2739 Å
α = 90.00°, β = 90.00°, γ = 120.00°
Space group R-3m (No. 166, hexagonal axes)
Inequivalent atoms, fractional coordinates:
Pr  0.0000  0.0000  0.2382 x6
Pr  0.0038  0.5019  0.2364 x18
Si  0.0000  0.5000  0.5000 x9
H  0.0000  0.0000  0.5000 x3
Br  0.0000  0.0000  0.0000 x3
Br  0.0000  0.5000  0.0000 x9

# 9
Starting from a cell relaxed with PBE, the powder X-ray diffraction pattern of H5PtBr2 was computed for Cu Kα, 1.54184 Å.

Top 6 peaks for 2θ = 10–90°, in order of rising 2θ:
15.17°, intensity 100.0, hkl 1 1 0; 21.09°, intensity 75.4, hkl 2 0 0; 22.41°, intensity 38.1, hkl 1 1 -1; 29.69°, intensity 50.2, hkl 0 2 1; 33.06°, intensity 38.3, hkl 2 2 -1; 40.04°, intensity 31.2, hkl 2 2 1

Atomic structure:
a = 8.802 Å, b = 8.102 Å, c = 4.696 Å
α = 90.00°, β = 106.83°, γ = 90.00°
Space group Cm (No. 8)
Inequivalent atoms, fractional coordinates:
H  0.000  0.000  0.000 x2
H  0.004  0.000  0.832 x2
H  0.238  0.119  0.774 x4
H  0.410  0.000  0.128 x2
Pt  0.226  0.000  0.044 x2
Br  0.237  0.246  0.380 x4

# 10
Starting from a cell relaxed with PBE, the powder X-ray diffraction pattern of PuH2Br was computed for Cu Kα, 1.54184 Å.

Top 6 peaks for 2θ = 10–90°, in order of rising 2θ:
18.49°, intensity 24.7, hkl 0 0 3; 27.89°, intensity 26.9, hkl 1 0 1; 29.93°, intensity 100.0, hkl 0 1 2; 37.08°, intensity 57.9, hkl 1 0 4; 48.03°, intensity 28.3, hkl 1 1 0; 62.47°, intensity 25.9, hkl 1 1 6

Atomic structure:
a = 3.7886 Å, b = 3.7886 Å, c = 14.3942 Å
α = 90.00°, β = 90.00°, γ = 120.00°
Space group R-3m (No. 166, hexagonal axes)
Inequivalent atoms, fractional coordinates:
Pu  0.0000  0.0000  0.0000 x3
H  0.0000  0.0000  0.3052 x6
Br  0.0000  0.0000  0.5000 x3

# 11
Starting from a cell relaxed with PBE, the powder X-ray diffraction pattern of Rb4H3Br4 was computed for Cu Kα, 1.54184 Å.

Top 6 peaks for 2θ = 10–90°, in order of rising 2θ:
21.13°, intensity 100.0, hkl 1 0 -1; 25.55°, intensity 90.6, hkl 0 4 0; 26.28°, intensity 85.2, hkl 1 0 1; 32.88°, intensity 33.4, hkl 0 0 2; 33.38°, intensity 61.9, hkl 1 4 -1; 36.98°, intensity 66.8, hkl 1 4 1

Atomic structure:
a = 5.245 Å, b = 13.946 Å, c = 5.575 Å
α = 90.00°, β = 102.24°, γ = 90.00°
Space group Pm (No. 6)
Inequivalent atoms, fractional coordinates:
Rb  0.000  0.000  0.000 x1
Rb  0.007  0.500  0.988 x1
Rb  0.439  0.244  0.537 x2
H  0.593  0.500  0.259 x1
H  0.848  0.188  0.244 x2
Br  0.032  0.253  0.959 x2
Br  0.406  0.500  0.572 x1
Br  0.409  0.000  0.583 x1

# 12
Starting from a cell relaxed with PBE, the powder X-ray diffraction pattern of Rb3HBr6 was computed for Cu Kα, 1.54184 Å.

Top 6 peaks for 2θ = 10–90°, in order of rising 2θ:
25.15°, intensity 61.8, hkl 0 0 4; 26.66°, intensity 100.0, hkl 2 0 2; 27.03°, intensity 25.8, hkl 2 1 1; 33.41°, intensity 42.8, hkl 2 2 0; 36.09°, intensity 24.1, hkl 3 0 1; 42.28°, intensity 41.8, hkl 2 2 4

Atomic structure:
a = 7.585 Å, b = 7.585 Å, c = 14.162 Å
α = 90.00°, β = 90.00°, γ = 90.00°
Space group I4/mmm (No. 139)
Inequivalent atoms, fractional coordinates:
Rb  0.000  0.000  0.000 x2
Rb  0.000  0.500  0.250 x4
H  0.000  0.000  0.500 x2
Br  0.000  0.000  0.233 x4
Br  0.198  0.198  0.500 x8

# 13
Starting from a cell relaxed with PBE, the powder X-ray diffraction pattern of Rb5H3Br2 was computed for Cu Kα, 1.54184 Å.

Top 6 peaks for 2θ = 10–90°, in order of rising 2θ:
25.32°, intensity 80.9, hkl 1 1 -2; 26.85°, intensity 100.0, hkl 3 1 -2; 28.40°, intensity 87.2, hkl 3 1 0; 29.27°, intensity 77.4, hkl 2 0 2; 32.12°, intensity 51.7, hkl 1 1 -3; 39.37°, intensity 39.8, hkl 0 2 0

Atomic structure:
a = 15.779 Å, b = 4.577 Å, c = 11.348 Å
α = 90.00°, β = 124.72°, γ = 90.00°
Space group C2/m (No. 12)
Inequivalent atoms, fractional coordinates:
Rb  0.000  0.000  0.000 x2
Rb  0.083  0.000  0.410 x4
Rb  0.191  0.500  0.817 x4
H  0.000  0.500  0.500 x2
H  0.114  0.000  0.875 x4
Br  0.174  0.500  0.266 x4